Computed XRD peak list
Compound: RbAg2PSe2O2
Radiation: Cu Kα
Structure: a GGA-PBE-relaxed structure

Top 10 peaks for 10° ≤ 2θ ≤ 90°, in order of rising 2θ:
2θ (°), d (Å), Rel. int.
17.4, 5.108, 30
26.3, 3.385, 36
28.8, 3.101, 77
30.3, 2.952, 100
35.1, 2.555, 33
39.9, 2.260, 25
41.7, 2.168, 16
47.0, 1.932, 36
49.9, 1.826, 29
54.3, 1.691, 41

Atomic structure:
```
data_RbAg2PSe2O2
_cell_length_a 6.4272
_cell_length_b 5.9710
_cell_length_c 6.8198
_cell_angle_alpha 59.89
_cell_angle_beta 53.48
_cell_angle_gamma 66.62
_space_group_name_H-M_alt 'P 1'
_space_group_IT_number 1
loop_
_space_group_symop_operation_xyz
'x,y,z'
loop_
_atom_site_label
_atom_site_type_symbol
_atom_site_fract_x
_atom_site_fract_y
_atom_site_fract_z
_atom_site_occupancy
Rb1 Rb 0.0000 0.0000 0.0000 1
Ag1 Ag 0.2439 0.2439 0.2561 1
Ag2 Ag 0.7439 0.7439 0.7561 1
P1 P 0.4582 0.4582 0.5418 1
Se1 Se 0.4444 0.8097 0.1903 1
Se2 Se 0.8097 0.4444 0.5556 1
O1 O 0.2145 0.5054 0.7855 1
O2 O 0.5054 0.2145 0.4946 1
```

---

Computed XRD peak list
Compound: Ag5TePO4
Radiation: Cu Kα
Structure: a GGA-PBE-relaxed structure

Top 10 peaks for 10° ≤ 2θ ≤ 90°, in order of rising 2θ:
2θ (°), d (Å), Rel. int.
17.9, 4.953, 28
28.2, 3.163, 15
30.2, 2.955, 14
35.4, 2.538, 100
36.3, 2.476, 53
37.7, 2.386, 12
45.1, 2.010, 20
47.9, 1.898, 12
52.2, 1.751, 19
64.7, 1.441, 24

Atomic structure:
```
data_Ag5TePO4
_cell_length_a 7.0045
_cell_length_b 7.0045
_cell_length_c 7.3635
_cell_angle_alpha 90.00
_cell_angle_beta 90.00
_cell_angle_gamma 90.00
_space_group_name_H-M_alt 'P 1'
_space_group_IT_number 1
loop_
_space_group_symop_operation_xyz
'x,y,z'
loop_
_atom_site_label
_atom_site_type_symbol
_atom_site_fract_x
_atom_site_fract_y
_atom_site_fract_z
_atom_site_occupancy
Ag1 Ag 0.0276 0.0276 0.1968 1
Ag2 Ag 0.0276 0.4724 0.1968 1
Ag3 Ag 0.2500 0.2500 0.4609 1
Ag4 Ag 0.4724 0.0276 0.1968 1
Ag5 Ag 0.4724 0.4724 0.1968 1
Ag6 Ag 0.5276 0.5276 0.8032 1
Ag7 Ag 0.5276 0.9724 0.8032 1
Ag8 Ag 0.7500 0.7500 0.5391 1
Ag9 Ag 0.9724 0.5276 0.8032 1
Ag10 Ag 0.9724 0.9724 0.8032 1
Te1 Te 0.2500 0.2500 0.9843 1
Te2 Te 0.7500 0.7500 0.0157 1
P1 P 0.2500 0.7500 0.5000 1
P2 P 0.7500 0.2500 0.5000 1
O1 O 0.0665 0.7500 0.3792 1
O2 O 0.2500 0.5665 0.6208 1
O3 O 0.2500 0.9335 0.6208 1
O4 O 0.4335 0.7500 0.3792 1
O5 O 0.5665 0.2500 0.6208 1
O6 O 0.7500 0.0665 0.3792 1
O7 O 0.7500 0.4335 0.3792 1
O8 O 0.9335 0.2500 0.6208 1
```